For Tm5BeSe4, a DFT-relaxed cell (GGA-PBE, Alexandria) gives the simulated powder XRD pattern in this record (Cu Kα X-rays).

Most intense lines, 2θ = 10–90°, by angle:
2θ (°), intensity
27.20, 58.1
31.45, 100.0
31.61, 50.3
45.08, 34.1
45.19, 73.5
56.10, 35.7

Crystal structure
abc: 6.9612 6.9612 6.9612
angles: 99.52 99.52 132.01
Fractional coordinates of all 10 atoms:
Tm (0.0000, 0.0000, 0.0000)
Tm (0.2195, 0.5948, 0.8142)
Tm (0.4052, 0.2195, 0.6247)
Tm (0.5948, 0.7805, 0.3753)
Tm (0.7805, 0.4052, 0.1858)
Be (0.5000, 0.5000, 0.0000)
Se (0.0929, 0.3055, 0.3984)
Se (0.3055, 0.9071, 0.2126)
Se (0.6945, 0.0929, 0.7874)
Se (0.9071, 0.6945, 0.6016)



For Be2WSe, a DFT-relaxed cell (GGA-PBE, Alexandria) gives the simulated powder XRD pattern in this record (Cu Kα X-rays).

Most intense lines, 2θ = 10–90°, by angle:
2θ (°), intensity
10.55, 80.4
21.19, 100.0
33.46, 63.3
39.95, 92.7
53.07, 35.1
55.69, 31.6

Crystal structure
abc: 2.6781 2.6781 8.3839
angles: 90.00 90.00 90.00
Fractional coordinates of all 4 atoms:
Be (0.0000, 0.0000, 0.2044)
Be (0.0000, 0.0000, 0.7956)
W (0.5000, 0.5000, 0.0000)
Se (0.5000, 0.5000, 0.5000)